No. 1
For Ba2Tl3Bi3, a GGA-PBE-relaxed structure gives the simulated X-ray powder pattern in this record (Cu Ka).
Lines closer than 0.1° are merged.

Structure:
a = 9.613 Å, b = 9.613 Å, c = 3.821 Å
α = 90.00°, β = 90.00°, γ = 120.00°
Sites, in units of the cell vectors:
Ba 0.333 0.667 0.000
Ba 0.667 0.333 0.000
Tl 0.000 0.786 0.000
Tl 0.214 0.214 0.000
Tl 0.786 0.000 0.000
Bi 0.000 0.366 0.500
Bi 0.366 0.000 0.500
Bi 0.634 0.634 0.500

Top 10 peaks for 2θ from 10° to 80°, low angle first:
2θ/deg	d_spacing	intensity
28.36	3.147	66
29.87	2.991	100
31.79	2.815	19
32.26	2.775	26
37.01	2.429	30
37.42	2.403	21
45.92	1.976	13
47.59	1.911	14
56.05	1.641	33
56.33	1.633	20

No. 2
For Mg16Zn12Ga, a GGA-PBE-relaxed structure gives the simulated X-ray powder pattern in this record (Cu Ka).
Lines closer than 0.1° are merged.

Structure:
a = 8.606 Å, b = 8.606 Å, c = 9.066 Å
α = 108.72°, β = 108.72°, γ = 106.53°
Sites, in units of the cell vectors:
Mg 0.000 0.000 0.000
Mg 0.001 0.400 0.996
Mg 0.009 0.308 0.292
Mg 0.086 0.703 0.352
Mg 0.094 0.343 0.670
Mg 0.291 0.291 0.988
Mg 0.308 0.009 0.292
Mg 0.318 0.687 0.671
Mg 0.343 0.094 0.670
Mg 0.373 0.686 0.085
Mg 0.400 0.001 0.996
Mg 0.686 0.373 0.085
Mg 0.686 0.686 0.674
Mg 0.687 0.318 0.671
Mg 0.703 0.086 0.352
Mg 0.727 0.727 0.363
Zn 0.052 0.669 0.857
Zn 0.057 0.868 0.692
Zn 0.343 0.537 0.325
Zn 0.352 0.352 0.514
Zn 0.492 0.492 0.849
Zn 0.507 0.889 0.500
Zn 0.537 0.343 0.325
Zn 0.662 0.853 0.019
Zn 0.669 0.052 0.857
Zn 0.853 0.662 0.019
Zn 0.868 0.057 0.692
Zn 0.889 0.507 0.500
Ga 0.995 0.995 0.333

Top 10 peaks for 2θ from 10° to 80°, low angle first:
2θ/deg	d_spacing	intensity
21.17	4.197	35
22.04	4.033	50
36.06	2.491	33
36.63	2.453	67
37.31	2.410	100
37.95	2.371	74
38.26	2.352	60
38.83	2.319	47
40.77	2.213	37
42.33	2.135	85

No. 3
For Nd3Ag, a GGA-PBE-relaxed structure gives the simulated X-ray powder pattern in this record (Cu Ka).
Lines closer than 0.1° are merged.

Structure:
a = 9.432 Å, b = 9.432 Å, c = 9.432 Å
α = 96.38°, β = 96.38°, γ = 141.05°
Sites, in units of the cell vectors:
Nd 0.072 0.025 0.590
Nd 0.116 0.448 0.606
Nd 0.148 0.335 0.961
Nd 0.375 0.187 0.039
Nd 0.434 0.481 0.410
Nd 0.490 0.884 0.332
Nd 0.519 0.928 0.953
Nd 0.552 0.158 0.668
Nd 0.665 0.625 0.812
Nd 0.813 0.852 0.188
Nd 0.842 0.510 0.394
Nd 0.975 0.566 0.047
Ag 0.060 0.724 0.747
Ag 0.276 0.023 0.336
Ag 0.687 0.940 0.664
Ag 0.977 0.313 0.253

Top 10 peaks for 2θ from 10° to 80°, low angle first:
2θ/deg	d_spacing	intensity
29.28	3.050	100
30.14	2.965	93
31.82	2.812	76
32.63	2.745	100
34.95	2.568	37
36.42	2.467	72
50.81	1.797	31
53.00	1.728	25
59.73	1.548	26
60.72	1.525	24

No. 4
For Hg2AsCl, a GGA-PBE-relaxed structure gives the simulated X-ray powder pattern in this record (Cu Ka).
Lines closer than 0.1° are merged.

Structure:
a = 8.143 Å, b = 8.690 Å, c = 7.411 Å
α = 90.00°, β = 90.00°, γ = 90.00°
Sites, in units of the cell vectors:
Hg 0.000 0.000 0.000
Hg 0.000 0.000 0.500
Hg 0.059 0.377 0.250
Hg 0.441 0.877 0.750
Hg 0.500 0.500 0.000
Hg 0.500 0.500 0.500
Hg 0.559 0.123 0.250
Hg 0.941 0.623 0.750
As 0.182 0.111 0.250
As 0.318 0.611 0.750
As 0.682 0.389 0.250
As 0.818 0.889 0.750
Cl 0.048 0.658 0.248
Cl 0.452 0.158 0.748
Cl 0.548 0.842 0.248
Cl 0.952 0.342 0.748

Top 10 peaks for 2θ from 10° to 80°, low angle first:
2θ/deg	d_spacing	intensity
15.72	5.639	45
20.44	4.345	21
21.83	4.071	47
24.95	3.568	30
28.39	3.144	100
32.82	2.729	38
42.58	2.123	35
48.58	1.874	27
49.15	1.854	22
53.88	1.702	24

No. 5
For Al2Se, a GGA-PBE-relaxed structure gives the simulated X-ray powder pattern in this record (Cu Ka).
Lines closer than 0.1° are merged.

Structure:
a = 5.278 Å, b = 5.277 Å, c = 8.203 Å
α = 90.00°, β = 90.00°, γ = 90.00°
Sites, in units of the cell vectors:
Al 0.001 0.250 0.045
Al 0.001 0.250 0.706
Al 0.499 0.750 0.206
Al 0.499 0.750 0.545
Al 0.501 0.250 0.455
Al 0.501 0.250 0.794
Al 0.999 0.750 0.294
Al 0.999 0.750 0.955
Se 0.000 0.250 0.375
Se 0.000 0.750 0.625
Se 0.500 0.250 0.125
Se 0.500 0.750 0.875

Top 10 peaks for 2θ from 10° to 80°, low angle first:
2θ/deg	d_spacing	intensity
20.01	4.438	60
32.44	2.760	33
33.98	2.639	100
37.03	2.428	78
39.74	2.268	21
48.81	1.866	35
51.13	1.787	61
62.81	1.479	16
73.37	1.290	21
73.82	1.284	20

No. 6
For Na3AgSb3Se8, a GGA-PBE-relaxed structure gives the simulated X-ray powder pattern in this record (Cu Ka).
Lines closer than 0.1° are merged.

Structure:
a = 8.048 Å, b = 8.048 Å, c = 8.634 Å
α = 118.06°, β = 118.06°, γ = 59.76°
Sites, in units of the cell vectors:
Na 0.000 0.000 0.000
Na 0.000 0.500 0.000
Na 0.500 0.000 0.000
Ag 0.000 0.000 0.500
Sb 0.000 0.500 0.500
Sb 0.500 0.000 0.500
Sb 0.500 0.500 0.500
Se 0.226 0.226 0.714
Se 0.241 0.744 0.725
Se 0.256 0.256 0.268
Se 0.256 0.759 0.275
Se 0.744 0.241 0.725
Se 0.744 0.744 0.732
Se 0.759 0.256 0.275
Se 0.774 0.774 0.286

Top 10 peaks for 2θ from 10° to 80°, low angle first:
2θ/deg	d_spacing	intensity
12.20	7.253	54
25.93	3.436	15
30.49	2.932	100
38.84	2.318	15
42.03	2.150	13
42.23	2.140	24
45.06	2.012	22
45.23	2.005	11
55.54	1.655	11
63.45	1.466	11

No. 7
For Ho2RhAu4, a GGA-PBE-relaxed structure gives the simulated X-ray powder pattern in this record (Cu Ka).
Lines closer than 0.1° are merged.

Structure:
a = 8.295 Å, b = 8.275 Å, c = 5.975 Å
α = 90.00°, β = 133.82°, γ = 90.00°
Sites, in units of the cell vectors:
Ho 0.250 0.250 0.000
Ho 0.250 0.750 0.000
Ho 0.750 0.250 0.000
Ho 0.750 0.750 0.000
Rh 0.000 0.000 0.000
Rh 0.500 0.500 0.000
Au 0.000 0.000 0.500
Au 0.000 0.500 0.500
Au 0.250 0.250 0.500
Au 0.250 0.750 0.500
Au 0.500 0.000 0.500
Au 0.500 0.500 0.500
Au 0.750 0.250 0.500
Au 0.750 0.750 0.500

Top 10 peaks for 2θ from 10° to 80°, low angle first:
2θ/deg	d_spacing	intensity
20.60	4.311	9
30.52	2.929	7
37.11	2.423	100
41.91	2.155	18
43.65	2.074	16
43.76	2.069	16
62.20	1.493	17
63.52	1.465	11
73.34	1.291	7
75.93	1.253	13

No. 8
For SmCd2Hg7, a GGA-PBE-relaxed structure gives the simulated X-ray powder pattern in this record (Cu Ka).
Lines closer than 0.1° are merged.

Structure:
a = 10.024 Å, b = 10.024 Å, c = 3.461 Å
α = 90.00°, β = 90.00°, γ = 123.05°
Sites, in units of the cell vectors:
Sm 0.000 0.000 0.000
Cd 0.329 0.671 0.500
Cd 0.671 0.329 0.500
Hg 0.128 0.320 0.500
Hg 0.192 0.808 0.000
Hg 0.320 0.128 0.500
Hg 0.500 0.500 0.500
Hg 0.680 0.872 0.500
Hg 0.808 0.192 0.000
Hg 0.872 0.680 0.500

Top 10 peaks for 2θ from 10° to 80°, low angle first:
2θ/deg	d_spacing	intensity
27.54	3.239	51
27.88	3.200	32
31.93	2.803	36
35.89	2.502	74
37.63	2.390	100
38.06	2.364	23
38.75	2.324	45
61.32	1.512	31
65.60	1.423	26
66.76	1.401	23